(1)
The following is a simulated powder XRD pattern of CdBi8Br10O8. It was derived from DFT lattice parameters and positions (PBE), using Cu Ka.

```
data_CdBi8Br10O8
_symmetry_space_group_name_H-M 'C m m m'
_symmetry_Int_Tables_number 65
_symmetry_space_group_name_Hall '-C 2 2'
_cell_length_a 5.5793
_cell_length_b 41.8438
_cell_length_c 5.5805
_cell_angle_alpha 90.00
_cell_angle_beta 90.00
_cell_angle_gamma 90.00
loop_
_atom_site_label
_atom_site_type_symbol
_atom_site_fract_x
_atom_site_fract_y
_atom_site_fract_z
Cd1 Cd 0.0000 0.0000 0.0000
Bi1 Bi 0.0000 0.1110 0.5000
Bi2 Bi 0.0000 0.1718 0.0000
Bi3 Bi 0.0000 0.3287 0.5000
Bi4 Bi 0.0000 0.3890 0.0000
Br1 Br 0.0000 0.0000 0.5000
Br2 Br 0.0000 0.0722 0.0000
Br3 Br 0.0000 0.2099 0.5000
Br4 Br 0.0000 0.2901 0.0000
Br5 Br 0.0000 0.4260 0.5000
Br6 Br 0.0000 0.5000 0.0000
O1 O 0.2488 0.1413 0.2488
```

Principal peaks in the range 5 to 70 degrees two-theta, in order of rising 2θ:
| two_theta | d [Å] | Rel. int. | hkl |
| --- | --- | --- | --- |
| 8.45 | 10.461 | 68.6 | 0 4 0 |
| 24.95 | 3.569 | 17.2 | 1 5 1 |
| 29.70 | 3.008 | 100.0 | 1 9 1 |
| 32.08 | 2.790 | 55.9 | 2 0 0 |
| 36.01 | 2.494 | 19.5 | 1 13 1 |
| 38.77 | 2.322 | 20.2 | 0 18 0 |
| 46.01 | 1.973 | 25.3 | 2 0 2 |
| 47.27 | 1.923 | 11.0 | 1 19 1 |
| 51.15 | 1.786 | 21.2 | 2 18 0 |
| 55.71 | 1.650 | 41.2 | 3 9 1 |

=====

(2)
The following is a simulated powder XRD pattern of TbNd2Ni6. It was derived from DFT lattice parameters and positions (PBE), using Cu Ka.

```
data_TbNd2Ni6
_symmetry_space_group_name_H-M 'P 6/m m m'
_symmetry_Int_Tables_number 191
_symmetry_space_group_name_Hall '-P 6 2'
_cell_length_a 6.9413
_cell_length_b 6.9413
_cell_length_c 3.9345
_cell_angle_alpha 90.00
_cell_angle_beta 90.00
_cell_angle_gamma 120.00
loop_
_atom_site_label
_atom_site_type_symbol
_atom_site_fract_x
_atom_site_fract_y
_atom_site_fract_z
Tb1 Tb 0.0000 0.0000 0.0000
Nd1 Nd 0.3333 0.6667 0.0000
Ni1 Ni 0.0000 0.3316 0.5000
```

Principal peaks in the range 5 to 70 degrees two-theta, in order of rising 2θ:
| two_theta | d [Å] | Rel. int. | hkl |
| --- | --- | --- | --- |
| 25.67 | 3.471 | 16.0 | 1 1 0 |
| 34.46 | 2.603 | 100.0 | 1 1 1 |
| 45.25 | 2.004 | 39.2 | 3 0 0 |
| 46.14 | 1.967 | 12.4 | 0 0 2 |
| 52.75 | 1.735 | 2.4 | 2 2 0 |
| 53.55 | 1.711 | 4.5 | 1 1 2 |
| 58.10 | 1.588 | 21.7 | 2 2 1 |
| 66.62 | 1.404 | 23.7 | 3 0 2 |